For Sm7Te4Se4, a structure optimized by DFT (GGA-PBE) gives the simulated powder diffractogram in this record (Cu Kα (weighted mean of Kα1 and Kα2)).
Peak positions follow from Bragg's law for the DFT cell and can differ from measured ones.

Crystal structure
```
Sm7Te4Se4
1.0
-7.597 7.597 3.710
7.597 -7.597 3.710
7.597 7.597 -3.710
Sm Te Se
14 8 8
direct
0.000 0.284 0.284
0.000 0.716 0.716
0.117 0.500 0.617
0.248 0.248 0.000
0.284 0.000 0.284
0.290 0.290 0.579
0.290 0.710 0.000
0.500 0.117 0.617
0.500 0.883 0.383
0.710 0.290 0.000
0.710 0.710 0.421
0.716 0.000 0.716
0.752 0.752 0.000
0.883 0.500 0.383
0.128 0.128 0.257
0.128 0.872 0.000
0.325 0.500 0.825
0.500 0.325 0.825
0.500 0.675 0.175
0.675 0.500 0.175
0.872 0.128 0.000
0.872 0.872 0.743
0.101 0.601 0.203
0.101 0.899 0.500
0.399 0.601 0.500
0.399 0.899 0.797
0.601 0.101 0.203
0.601 0.399 0.500
0.899 0.101 0.500
0.899 0.399 0.797
```

The 12 most intense peaks (2θ = 5–70°), in order of rising 2θ:
23.98 deg, I = 24.1; 29.25 deg, I = 7.6; 30.44 deg, I = 35.9; 31.82 deg, I = 100.0; 34.82 deg, I = 11.9; 35.45 deg, I = 15.3; 35.84 deg, I = 32.7; 43.44 deg, I = 7.4; 45.46 deg, I = 8.7; 47.39 deg, I = 32.8; 49.11 deg, I = 14.1; 60.56 deg, I = 9.4